# BaPuCoO5
Computed PXRD pattern, Cu Kα, 1.54184 Å. Input: a DFT-relaxed cell (PBE+U, Alexandria).
Kinematic intensities with the Lorentz-polarization factor, no thermal factor.

Structure:
```
BaPuCoO5
1.0
3.682 -4.938 0.000
3.682 4.938 0.000
-3.364 0.000 7.304
Ba Pu Co O
2 2 2 10
Cartesian
1.159 3.261 5.478
2.841 -3.261 1.826
3.682 0.000 0.000
2.000 0.000 3.652
2.841 3.062 1.826
1.159 -3.062 5.478
-1.504 0.585 6.579
1.673 1.942 2.952
0.178 -0.585 2.927
4.009 1.942 0.700
1.159 0.612 5.478
2.841 -0.612 1.826
-0.009 -1.942 6.604
3.822 0.585 4.377
2.327 -1.942 4.352
5.504 -0.585 0.725
```

Most intense lines, 10° ≤ 2θ ≤ 90°, low angle first:
2θ 16.0, intensity 58
2θ 24.1, intensity 100
2θ 26.7, intensity 63
2θ 30.3, intensity 79
2θ 30.4, intensity 54
2θ 33.1, intensity 33
2θ 33.8, intensity 27
2θ 38.6, intensity 29
2θ 45.6, intensity 18
2θ 49.4, intensity 27
2θ 53.9, intensity 19
2θ 57.4, intensity 24